Diffraction record for Tl2ReWO6. The PXRD pattern is simulated, not measured: it uses a DFT-relaxed cell (GGA+U, Alexandria) and Cu Kα X-rays.

Structure:
Lattice parameters (Å, degrees): 5.4464 5.4464 7.0546 112.62 112.62 90.00
Atoms (fractional coordinates):
Tl  0.2498  0.7502  0.0000
Tl  0.7502  0.2498  0.0000
Re  0.0000  0.0000  0.5000
W  0.5000  0.5000  0.5000
O  0.2410  0.2410  0.5002
O  0.2409  0.7591  0.5000
O  0.3407  0.3407  0.1805
O  0.6593  0.6593  0.8195
O  0.7591  0.2409  0.5000
O  0.7590  0.7590  0.4998

Peak list (10 most intense, 10° ≤ 2θ ≤ 90°, sorted by position)
2θ 27.63, intensity 1000
2θ 30.19, intensity 234
2θ 32.89, intensity 304
2θ 45.25, intensity 224
2θ 47.20, intensity 154
2θ 52.06, intensity 150
2θ 55.57, intensity 297
2θ 57.04, intensity 117
2θ 72.82, intensity 103
2θ 72.97, intensity 73